Sr5Cd2Sn5: simulated powder XRD pattern (Cu Kα X-rays), based on a structure optimized by DFT (GGA-PBE).

Largest 10 diffraction maxima, most intense first, 2θ from 10° to 80°:
| 2θ/deg | I (rel.) | hkl |
| --- | --- | --- |
| 30.7 | 100 | 1 2 3 |
| 31.6 | 78 | 1 1 4 |
| 35.8 | 73 | 2 0 0 |
| 30.9 | 53 | 1 3 0 |
| 31.3 | 42 | 0 3 3 |
| 33.7 | 26 | 0 4 0 |
| 39.9 | 26 | 1 3 4 |
| 48.3 | 25 | 2 3 3 |
| 50.0 | 22 | 2 4 0 |
| 61.3 | 21 | 3 3 0 |

```
data_Sr5Cd2Sn5
_cell_length_a 5.0120
_cell_length_b 10.6371
_cell_length_c 14.4767
_cell_angle_alpha 90.00
_cell_angle_beta 90.00
_cell_angle_gamma 90.00
_space_group_name_H-M_alt 'I m m m'
_space_group_IT_number 71
_space_group_name_Hall '-I 2 2'
loop_
_atom_site_label
_atom_site_type_symbol
_atom_site_fract_x
_atom_site_fract_y
_atom_site_fract_z
Sr1 Sr 0.0000 0.0000 0.0000
Sr2 Sr 0.0000 0.3080 0.1427
Cd1 Cd 0.0000 0.5000 0.3449
Sn1 Sn 0.0000 0.0000 0.2656
Sn2 Sn 0.0000 0.0000 0.5000
Sn3 Sn 0.0000 0.2975 0.5000
```